The following is a theoretical X-ray powder pattern of DyTmPdRh. It was derived from DFT lattice parameters and positions (PBE), using Cu Kα.
Intensities are scaled so that the largest is 100.

Structural model:
```
DyTmPdRh
1.0
6.8852 0.0000 0.0000
0.0000 6.8852 0.0000
0.0000 0.0000 6.8852
Dy Tm Pd Rh
4 4 4 4
Direct
0.0000 0.0000 0.0000
0.0000 0.5000 0.5000
0.5000 0.0000 0.5000
0.5000 0.5000 0.0000
0.0000 0.0000 0.5000
0.0000 0.5000 0.0000
0.5000 0.0000 0.0000
0.5000 0.5000 0.5000
0.2500 0.2500 0.7500
0.2500 0.7500 0.2500
0.7500 0.2500 0.2500
0.7500 0.7500 0.7500
0.2500 0.2500 0.2500
0.2500 0.7500 0.7500
0.7500 0.2500 0.7500
0.7500 0.7500 0.2500
```

Main lines, low angle first (5° ≤ 2θ ≤ 70°):
d 3.443, I 5, (2 0 0); d 2.434, I 100, (2 2 0); d 1.988, I 2, (2 2 2); d 1.721, I 17, (4 0 0); d 1.540, I 2, (4 2 0); d 1.405, I 35, (4 2 2)